Theoretical powder X-ray diffraction pattern of Ti2Be2Co5W for a wavelength of 1.5418 Å, from a cell relaxed with GGA-PBE.

Top 10 peaks for 10 to 80 degrees two-theta, by angle:
d = 5.968 Å, I 58.7, hkl 1 1 0
d = 4.220 Å, I 32.5, hkl 2 0 0
d = 2.834 Å, I 26.6, hkl 1 1 1
d = 2.450 Å, I 22.4, hkl 2 1 1
d = 2.189 Å, I 40.6, hkl 2 2 1
d = 2.055 Å, I 100.0, hkl 3 1 1
d = 2.047 Å, I 22.2, hkl 4 1 0
d = 1.887 Å, I 32.5, hkl 4 2 0
d = 1.610 Å, I 15.4, hkl 0 0 2
d = 1.225 Å, I 15.0, hkl 4 2 2

Crystal structure
```
Ti2Be2Co5W
1.0
8.4398 0.0000 0.0000
0.0000 8.4398 0.0000
0.0000 0.0000 3.2200
Ti Be Co W
4 4 10 2
direct
0.1744 0.3256 0.0000
0.3256 0.8256 0.0000
0.6744 0.1744 0.0000
0.8256 0.6744 0.0000
0.1188 0.6188 0.0000
0.3812 0.1188 0.0000
0.6188 0.8812 0.0000
0.8812 0.3812 0.0000
0.0000 0.5000 0.5000
0.0704 0.7873 0.5000
0.2127 0.0704 0.5000
0.2873 0.5704 0.5000
0.4296 0.2873 0.5000
0.5000 0.0000 0.5000
0.5704 0.7127 0.5000
0.7127 0.4296 0.5000
0.7873 0.9296 0.5000
0.9296 0.2127 0.5000
0.0000 0.0000 0.0000
0.5000 0.5000 0.0000
```